PmMnMo2O8: computed powder X-ray diffraction pattern (a wavelength of 1.5418 Å), based on a DFT-relaxed cell (GGA+U, Alexandria).

Crystal structure
Cell lengths 5.238, 5.238, 11.269 Å; angles 90.00, 90.00, 90.00 degrees
Space group I-4 (No. 82)
One atom of each set of equivalent atoms:
Pm  0.000  0.000  0.000
Mn  0.000  0.500  0.250
Mo  0.000  0.000  0.500
Mo  0.000  0.500  0.750
O  0.164  0.242  0.414
O  0.177  0.758  0.833

The 12 most intense peaks (10 to 90 degrees two-theta), by intensity:
d (Å)	2θ (°)	I/Imax
3.095	28.85	100.0
1.918	47.40	31.0
1.589	58.04	26.6
2.619	34.24	17.3
1.675	54.80	15.8
1.852	49.20	14.8
2.817	31.76	13.0
1.242	76.72	11.7
1.547	59.76	10.3
1.241	76.84	6.8
4.750	18.68	6.3
1.206	79.47	5.3